Computed powder diffraction line list
Compound: Cs5Rb12Pt2
Radiation: λ = 1.5418 Å (Cu Kα)
Structure: a DFT-relaxed cell (PBE, Alexandria)
Lines closer than 0.1° are merged.

Structure:
Cell lengths 8.6130, 12.7818, 14.0582 Å; angles 91.73, 90.59, 93.89 degrees
Positions (direct):
Cs1 0.0000 0.0000 0.0000
Cs2 0.2381 0.4095 0.2085
Cs3 0.2461 0.6005 0.5887
Cs4 0.7539 0.3995 0.4113
Cs5 0.7619 0.5905 0.7915
Rb1 0.0222 0.9287 0.6248
Rb2 0.1968 0.7818 0.3170
Rb3 0.2634 0.3271 0.8584
Rb4 0.2743 0.6926 0.9619
Rb5 0.3510 0.2065 0.5457
Rb6 0.4975 0.9455 0.7160
Rb7 0.5025 0.0545 0.2840
Rb8 0.6490 0.7935 0.4543
Rb9 0.7257 0.3074 0.0381
Rb10 0.7366 0.6729 0.1416
Rb11 0.8032 0.2182 0.6830
Rb12 0.9778 0.0713 0.3752
Pt1 0.3568 0.9527 0.4878
Pt2 0.6432 0.0473 0.5122

Largest 10 diffraction maxima, in order of falling intensity, 10° ≤ 2θ ≤ 90°:
- 22.6 deg, d = 3.926 Å, I = 100
- 21.7 deg, d = 4.091 Å, I = 65
- 22.3 deg, d = 3.990 Å, I = 56
- 13.6 deg, d = 6.520 Å, I = 52
- 21.2 deg, d = 4.192 Å, I = 46
- 21.7 deg, d = 4.102 Å, I = 44
- 23.4 deg, d = 3.795 Å, I = 41
- 12.0 deg, d = 7.368 Å, I = 35
- 27.6 deg, d = 3.237 Å, I = 34
- 25.0 deg, d = 3.562 Å, I = 34

---

Computed powder diffraction line list
Compound: Cs6Rb2Pt
Radiation: λ = 1.5418 Å (Cu Kα)
Structure: a DFT-relaxed cell (PBE, Alexandria)
Lines closer than 0.1° are merged.

Structure:
Cell lengths 10.6703, 10.6703, 10.6703 Å; angles 56.71, 56.71, 56.71 degrees
Positions (direct):
Cs1 0.1812 0.1812 0.6377
Cs2 0.1812 0.6377 0.1812
Cs3 0.3425 0.3425 0.7954
Cs4 0.3425 0.7954 0.3425
Cs5 0.6377 0.1812 0.1812
Cs6 0.7954 0.3425 0.3425
Rb1 0.6718 0.6718 0.6718
Rb2 0.8482 0.8482 0.8482
Pt1 0.4125 0.4125 0.4125

Largest 10 diffraction maxima, in order of falling intensity, 10° ≤ 2θ ≤ 90°:
- 20.5 deg, d = 4.331 Å, I = 100
- 26.3 deg, d = 3.394 Å, I = 75
- 10.6 deg, d = 8.340 Å, I = 71
- 31.0 deg, d = 2.883 Å, I = 59
- 35.4 deg, d = 2.534 Å, I = 53
- 12.1 deg, d = 7.340 Å, I = 48
- 24.3 deg, d = 3.670 Å, I = 39
- 19.9 deg, d = 4.461 Å, I = 37
- 21.3 deg, d = 4.170 Å, I = 31
- 41.0 deg, d = 2.203 Å, I = 26

---

Computed powder diffraction line list
Compound: Cs4Rb3Pt
Radiation: λ = 1.5418 Å (Cu Kα)
Structure: a DFT-relaxed cell (PBE, Alexandria)
Lines closer than 0.1° are merged.

Structure:
Cell lengths 10.9122, 13.5558, 9.6618 Å; angles 90.00, 90.00, 90.00 degrees
Positions (direct):
Cs1 0.0466 0.2500 0.2371
Cs2 0.2500 0.5777 0.4946
Cs3 0.2500 0.9223 0.4946
Cs4 0.4534 0.2500 0.2371
Cs5 0.5466 0.7500 0.7629
Cs6 0.7500 0.0777 0.5054
Cs7 0.7500 0.4223 0.5054
Cs8 0.9534 0.7500 0.7629
Rb1 0.2500 0.2500 0.7486
Rb2 0.2500 0.5762 0.9912
Rb3 0.2500 0.9238 0.9912
Rb4 0.7500 0.0762 0.0088
Rb5 0.7500 0.4238 0.0088
Rb6 0.7500 0.7500 0.2514
Pt1 0.2500 0.7500 0.7408
Pt2 0.7500 0.2500 0.2592

Largest 10 diffraction maxima, in order of falling intensity, 10° ≤ 2θ ≤ 90°:
- 11.2 deg, d = 7.868 Å, I = 100
- 22.6 deg, d = 3.934 Å, I = 96
- 36.8 deg, d = 2.444 Å, I = 48
- 10.4 deg, d = 8.500 Å, I = 47
- 16.2 deg, d = 5.456 Å, I = 42
- 28.3 deg, d = 3.159 Å, I = 38
- 29.4 deg, d = 3.042 Å, I = 37
- 25.4 deg, d = 3.513 Å, I = 31
- 32.3 deg, d = 2.774 Å, I = 30
- 21.3 deg, d = 4.175 Å, I = 30

---

Computed powder diffraction line list
Compound: Cs8Rb3Pt2
Radiation: λ = 1.5418 Å (Cu Kα)
Structure: a DFT-relaxed cell (PBE, Alexandria)
Lines closer than 0.1° are merged.

Structure:
Cell lengths 13.0346, 5.5234, 13.7659 Å; angles 90.00, 92.66, 90.00 degrees
Positions (direct):
Cs1 0.0891 0.0000 0.1249
Cs2 0.1285 0.5000 0.7557
Cs3 0.3149 0.5000 0.0077
Cs4 0.4008 0.0000 0.7441
Cs5 0.5992 0.0000 0.2559
Cs6 0.6851 0.5000 0.9923
Cs7 0.8715 0.5000 0.2443
Cs8 0.9109 0.0000 0.8751
Rb1 0.0000 0.0000 0.5000
Rb2 0.3075 0.5000 0.4065
Rb3 0.6925 0.5000 0.5935
Pt1 0.1867 0.0000 0.8956
Pt2 0.8133 0.0000 0.1044

Largest 10 diffraction maxima, in order of falling intensity, 10° ≤ 2θ ≤ 90°:
- 21.9 deg, d = 4.056 Å, I = 100
- 32.4 deg, d = 2.762 Å, I = 83
- 22.3 deg, d = 3.994 Å, I = 78
- 29.6 deg, d = 3.013 Å, I = 62
- 21.5 deg, d = 4.124 Å, I = 56
- 36.5 deg, d = 2.462 Å, I = 55
- 20.8 deg, d = 4.262 Å, I = 50
- 14.8 deg, d = 5.980 Å, I = 50
- 27.2 deg, d = 3.284 Å, I = 49
- 23.7 deg, d = 3.749 Å, I = 49

---

Computed powder diffraction line list
Compound: Cs2RbSnPt
Radiation: λ = 1.5418 Å (Cu Kα)
Structure: a DFT-relaxed cell (PBE, Alexandria)
Lines closer than 0.1° are merged.

Structure:
Cell lengths 6.9594, 6.9594, 5.1896 Å; angles 90.00, 90.00, 90.00 degrees
Positions (direct):
Cs1 0.0000 0.5000 0.0000
Cs2 0.5000 0.0000 0.0000
Rb1 0.0000 0.0000 0.5000
Sn1 0.5000 0.5000 0.5000
Pt1 0.5000 0.5000 0.0000

Largest 10 diffraction maxima, in order of falling intensity, 10° ≤ 2θ ≤ 90°:
- 25.6 deg, d = 3.480 Å, I = 100
- 12.7 deg, d = 6.959 Å, I = 57
- 43.5 deg, d = 2.080 Å, I = 48
- 36.5 deg, d = 2.461 Å, I = 39
- 24.9 deg, d = 3.571 Å, I = 38
- 51.2 deg, d = 1.785 Å, I = 30
- 70.6 deg, d = 1.335 Å, I = 23
- 34.6 deg, d = 2.595 Å, I = 23
- 59.4 deg, d = 1.556 Å, I = 19
- 17.1 deg, d = 5.190 Å, I = 18

---

Computed powder diffraction line list
Compound: CsRuPt2
Radiation: λ = 1.5418 Å (Cu Kα)
Structure: a DFT-relaxed cell (PBE, Alexandria)
Lines closer than 0.1° are merged.

Structure:
Cell lengths 8.9077, 8.9077, 8.9077 Å; angles 143.48, 143.48, 52.60 degrees
Positions (direct):
Cs1 0.3750 0.6250 0.7500
Cs2 0.6250 0.3750 0.2500
Ru1 0.1250 0.8750 0.2500
Ru2 0.8750 0.1250 0.7500
Pt1 0.0000 0.0000 0.0000
Pt2 0.0000 0.0000 0.5000
Pt3 0.0000 0.5000 0.0000
Pt4 0.5000 0.0000 0.5000

Largest 10 diffraction maxima, in order of falling intensity, 10° ≤ 2θ ≤ 90°:
- 16.8 deg, d = 5.269 Å, I = 100
- 34.0 deg, d = 2.635 Å, I = 88
- 25.2 deg, d = 3.538 Å, I = 72
- 23.1 deg, d = 3.852 Å, I = 70
- 51.7 deg, d = 1.769 Å, I = 70
- 36.4 deg, d = 2.466 Å, I = 44
- 47.2 deg, d = 1.926 Å, I = 36
- 32.3 deg, d = 2.772 Å, I = 30
- 45.4 deg, d = 1.996 Å, I = 26
- 39.9 deg, d = 2.260 Å, I = 23

---

Computed powder diffraction line list
Compound: Cs2Pt2S3
Radiation: λ = 1.5418 Å (Cu Kα)
Structure: a DFT-relaxed cell (PBE, Alexandria)
Lines closer than 0.1° are merged.

Structure:
Cell lengths 7.1496, 7.5634, 9.4946 Å; angles 90.00, 115.93, 90.00 degrees
Positions (direct):
Cs1 0.1964 0.0483 0.4031
Cs2 0.1964 0.4517 0.9031
Cs3 0.8036 0.5483 0.0969
Cs4 0.8036 0.9517 0.5969
Pt1 0.3171 0.5058 0.5039
Pt2 0.3171 0.9942 0.0039
Pt3 0.6829 0.0058 0.9961
Pt4 0.6829 0.4942 0.4961
S1 0.0000 0.0000 0.0000
S2 0.0000 0.5000 0.5000
S3 0.3939 0.6423 0.3198
S4 0.3939 0.8577 0.8198
S5 0.6061 0.1423 0.1802
S6 0.6061 0.3577 0.6802

Largest 10 diffraction maxima, in order of falling intensity, 10° ≤ 2θ ≤ 90°:
- 23.5 deg, d = 3.782 Å, I = 100
- 20.8 deg, d = 4.269 Å, I = 75
- 15.7 deg, d = 5.662 Å, I = 73
- 31.6 deg, d = 2.831 Å, I = 62
- 23.8 deg, d = 3.745 Å, I = 53
- 33.6 deg, d = 2.664 Å, I = 41
- 19.3 deg, d = 4.603 Å, I = 39
- 26.4 deg, d = 3.373 Å, I = 34
- 49.7 deg, d = 1.836 Å, I = 33
- 35.7 deg, d = 2.517 Å, I = 33

---

Computed powder diffraction line list
Compound: Cs2TaPtS4
Radiation: λ = 1.5418 Å (Cu Kα)
Structure: a DFT-relaxed cell (PBE, Alexandria)
Lines closer than 0.1° are merged.

Structure:
Cell lengths 14.5892, 13.0528, 7.7013 Å; angles 85.20, 63.07, 31.74 degrees
Positions (direct):
Cs1 0.0524 0.0524 0.6976
Cs2 0.3024 0.3024 0.9476
Cs3 0.6976 0.6976 0.0524
Cs4 0.9476 0.9476 0.3024
Ta1 0.1250 0.1250 0.1250
Ta2 0.8750 0.8750 0.8750
Pt1 0.3750 0.3750 0.3750
Pt2 0.6250 0.6250 0.6250
S1 0.0366 0.3179 0.3990
S2 0.2534 0.6010 0.6821
S3 0.3179 0.0366 0.7466
S4 0.3990 0.7466 0.0366
S5 0.6010 0.2534 0.9634
S6 0.6821 0.9634 0.2534
S7 0.7466 0.3990 0.3179
S8 0.9634 0.6821 0.6010

Largest 10 diffraction maxima, in order of falling intensity, 10° ≤ 2θ ≤ 90°:
- 24.4 deg, d = 3.646 Å, I = 100
- 14.2 deg, d = 6.223 Å, I = 61
- 13.9 deg, d = 6.363 Å, I = 58
- 37.5 deg, d = 2.396 Å, I = 50
- 33.3 deg, d = 2.688 Å, I = 41
- 25.0 deg, d = 3.567 Å, I = 37
- 45.6 deg, d = 1.988 Å, I = 34
- 26.4 deg, d = 3.375 Å, I = 33
- 43.6 deg, d = 2.074 Å, I = 25
- 49.6 deg, d = 1.839 Å, I = 22

---

- What is the formula in the fourth record?
  Cs8Rb3Pt2